This entry pairs a crystal structure of Li6FeO4F2 with its theoretical powder diffraction line list. Radiation: CuKα. Structure: the PBE+U geometry in the Materials Project.
Neutral-atom scattering factors, no anomalous dispersion.

Structure:
```
Li6FeO4F2
1.0
5.499 0.000 0.000
2.530 4.914 0.000
2.520 1.713 4.771
Li Fe O F
6 1 4 2
Direct
0.004 0.412 0.251
0.221 0.996 0.067
0.416 0.804 0.518
0.584 0.196 0.482
0.779 0.004 0.933
0.996 0.588 0.749
0.500 0.500 0.000
0.154 0.708 0.915
0.398 0.160 0.204
0.602 0.840 0.796
0.846 0.292 0.085
0.279 0.613 0.392
0.721 0.387 0.608
```

Principal peaks in the range 10 to 80 degrees two-theta, sorted by position:
- 2θ = 18.60°, d = 4.771 Å, I = 68
- 2θ = 18.98°, d = 4.676 Å, I = 74
- 2θ = 19.19°, d = 4.625 Å, I = 79
- 2θ = 22.40°, d = 3.969 Å, I = 100
- 2θ = 36.06°, d = 2.491 Å, I = 57
- 2θ = 37.59°, d = 2.393 Å, I = 66